[1]
The following is a simulated X-ray powder pattern of SrNdFeRuO6. It was derived from a cell relaxed with PBE+U, using Cu Kα (weighted mean of Kα1 and Kα2).

Main lines, low angle first (10° ≤ 2θ ≤ 80°):
two_theta  Rel. int.
19.38  9
31.70  18
32.00  100
45.69  21
46.07  12
56.65  12
56.99  17
57.14  13
66.79  6
67.00  9

Atomic structure:
a b c (Å): 5.588 5.646 9.642
angles (deg): 90.00 125.19 90.00
Atoms (fractional coordinates):
Sr 0.000 0.220 0.000
Sr 0.000 0.780 0.500
Nd 0.483 0.298 0.501
Nd 0.483 0.702 0.001
Fe 0.746 0.245 0.251
Fe 0.746 0.755 0.751
Ru 0.246 0.248 0.750
Ru 0.246 0.752 0.250
O 0.011 0.474 0.789
O 0.011 0.526 0.289
O 0.086 0.040 0.295
O 0.086 0.960 0.795
O 0.430 0.475 0.211
O 0.430 0.525 0.711
O 0.494 0.043 0.706
O 0.494 0.957 0.206
O 0.562 0.274 0.000
O 0.562 0.726 0.500
O 0.907 0.238 0.500
O 0.907 0.762 0.000

[2]
The following is a simulated X-ray powder pattern of Y2MgMo2Cl2O8. It was derived from a cell relaxed with PBE+U, using Cu Kα (weighted mean of Kα1 and Kα2).

Main lines, low angle first (10° ≤ 2θ ≤ 80°):
two_theta  Rel. int.
12.81  44
15.35  48
15.84  37
26.45  69
27.33  100
28.19  45
33.01  48
37.72  22
50.97  24
54.66  21

Atomic structure:
a b c (Å): 6.717 6.717 7.178
angles (deg): 103.53 103.53 60.21
Atoms (fractional coordinates):
Y 0.217 0.217 0.373
Y 0.783 0.783 0.627
Mg 0.723 0.277 0.500
Mo 0.156 0.134 0.791
Mo 0.866 0.844 0.209
Cl 0.411 0.458 0.700
Cl 0.542 0.589 0.300
O 0.011 0.609 0.362
O 0.184 0.206 0.049
O 0.391 0.989 0.638
O 0.607 0.039 0.357
O 0.794 0.816 0.951
O 0.936 0.023 0.695
O 0.961 0.393 0.643
O 0.977 0.064 0.305

[3]
The following is a simulated X-ray powder pattern of Fe21HO32. It was derived from a cell relaxed with PBE+U, using Cu Kα (weighted mean of Kα1 and Kα2).

Main lines, low angle first (10° ≤ 2θ ≤ 80°):
two_theta  Rel. int.
10.37  25
29.44  56
29.80  54
34.61  49
34.92  100
35.08  48
42.39  30
56.05  27
61.08  56
61.91  56

Atomic structure:
a b c (Å): 8.531 8.531 8.531
angles (deg): 89.30 89.30 89.30
Atoms (fractional coordinates):
Fe 0.034 0.034 0.034
Fe 0.042 0.042 0.522
Fe 0.042 0.522 0.042
Fe 0.157 0.674 0.674
Fe 0.165 0.417 0.417
Fe 0.291 0.291 0.799
Fe 0.291 0.799 0.291
Fe 0.406 0.672 0.921
Fe 0.406 0.921 0.672
Fe 0.417 0.165 0.417
Fe 0.417 0.417 0.165
Fe 0.522 0.042 0.042
Fe 0.543 0.543 0.543
Fe 0.672 0.406 0.921
Fe 0.672 0.921 0.406
Fe 0.674 0.157 0.674
Fe 0.674 0.674 0.157
Fe 0.790 0.790 0.790
Fe 0.799 0.291 0.291
Fe 0.921 0.406 0.672
Fe 0.921 0.672 0.406
H 0.230 0.230 0.230
O 0.160 0.423 0.655
O 0.160 0.655 0.423
O 0.168 0.168 0.917
O 0.168 0.917 0.168
O 0.176 0.641 0.904
O 0.176 0.904 0.641
O 0.183 0.183 0.400
O 0.183 0.400 0.183
O 0.400 0.183 0.183
O 0.407 0.673 0.673
O 0.413 0.413 0.413
O 0.423 0.160 0.655
O 0.423 0.655 0.160
O 0.424 0.901 0.901
O 0.428 0.428 0.927
O 0.428 0.927 0.428
O 0.641 0.176 0.904
O 0.641 0.904 0.176
O 0.653 0.653 0.923
O 0.653 0.923 0.653
O 0.655 0.160 0.423
O 0.655 0.423 0.160
O 0.673 0.407 0.673
O 0.673 0.673 0.407
O 0.901 0.424 0.901
O 0.901 0.901 0.424
O 0.904 0.176 0.641
O 0.904 0.641 0.176
O 0.909 0.909 0.909
O 0.917 0.168 0.168
O 0.923 0.653 0.653
O 0.927 0.428 0.428

[4]
The following is a simulated X-ray powder pattern of MgMn6O11F. It was derived from a cell relaxed with PBE+U, using Cu Kα (weighted mean of Kα1 and Kα2).

Main lines, low angle first (10° ≤ 2θ ≤ 80°):
two_theta  Rel. int.
22.80  100
27.79  63
35.65  17
35.83  31
36.01  17
36.24  15
42.05  14
49.00  16
49.89  13
57.43  17

Atomic structure:
a b c (Å): 4.996 5.110 8.683
angles (deg): 89.22 89.16 78.89
Atoms (fractional coordinates):
Mg 0.000 0.000 0.000
Mn 0.061 0.497 0.170
Mn 0.074 0.508 0.815
Mn 0.508 0.951 0.652
Mn 0.509 0.940 0.001
Mn 0.518 0.958 0.330
Mn 0.963 0.406 0.495
O 0.222 0.273 0.332
O 0.222 0.276 0.993
O 0.230 0.277 0.654
O 0.308 0.807 0.154
O 0.310 0.816 0.837
O 0.343 0.818 0.495
O 0.690 0.097 0.151
O 0.700 0.100 0.492
O 0.792 0.624 0.325
O 0.795 0.626 0.664
O 0.841 0.666 0.992
F 0.710 0.109 0.833

[5]
The following is a simulated X-ray powder pattern of W7O6F30. It was derived from a cell relaxed with PBE+U, using Cu Kα (weighted mean of Kα1 and Kα2).

Main lines, low angle first (10° ≤ 2θ ≤ 80°):
two_theta  Rel. int.
11.38  14
18.54  22
21.20  100
26.70  30
33.28  15
34.06  22
38.37  18
48.36  11
51.08  19
52.83  12

Atomic structure:
a b c (Å): 10.980 10.980 10.980
angles (deg): 50.24 50.24 50.24
Atoms (fractional coordinates):
W 0.000 0.000 0.000
W 0.079 0.767 0.395
W 0.233 0.605 0.921
W 0.395 0.079 0.767
W 0.605 0.921 0.233
W 0.767 0.395 0.079
W 0.921 0.233 0.605
O 0.023 0.091 0.769
O 0.091 0.769 0.023
O 0.231 0.977 0.909
O 0.769 0.023 0.091
O 0.909 0.231 0.977
O 0.977 0.909 0.231
F 0.055 0.364 0.459
F 0.090 0.090 0.481
F 0.090 0.481 0.090
F 0.100 0.748 0.789
F 0.199 0.621 0.540
F 0.211 0.900 0.252
F 0.249 0.623 0.271
F 0.252 0.211 0.900
F 0.271 0.249 0.623
F 0.364 0.459 0.055
F 0.377 0.729 0.751
F 0.379 0.460 0.801
F 0.459 0.055 0.364
F 0.460 0.801 0.379
F 0.481 0.090 0.090
F 0.519 0.910 0.910
F 0.540 0.199 0.621
F 0.541 0.945 0.636
F 0.621 0.540 0.199
F 0.623 0.271 0.249
F 0.636 0.541 0.945
F 0.729 0.751 0.377
F 0.748 0.789 0.100
F 0.751 0.377 0.729
F 0.789 0.100 0.748
F 0.801 0.379 0.460
F 0.900 0.252 0.211
F 0.910 0.519 0.910
F 0.910 0.910 0.519
F 0.945 0.636 0.541

[6]
The following is a simulated X-ray powder pattern of CrPbO4. It was derived from a cell relaxed with PBE+U, using Cu Kα (weighted mean of Kα1 and Kα2).

Main lines, low angle first (10° ≤ 2θ ≤ 80°):
two_theta  Rel. int.
18.97  56
23.00  43
25.41  21
26.29  29
28.75  100
30.44  36
39.69  24
40.05  18
45.23  23
58.17  27

Atomic structure:
a b c (Å): 8.304 5.874 7.734
angles (deg): 90.00 90.00 90.00
Atoms (fractional coordinates):
Cr 0.051 0.250 0.170
Cr 0.449 0.750 0.670
Cr 0.551 0.250 0.330
Cr 0.949 0.750 0.830
Pb 0.205 0.250 0.702
Pb 0.295 0.750 0.202
Pb 0.705 0.250 0.798
Pb 0.795 0.750 0.298
O 0.067 0.010 0.289
O 0.067 0.490 0.289
O 0.128 0.750 0.922
O 0.195 0.250 0.022
O 0.305 0.750 0.522
O 0.372 0.250 0.422
O 0.433 0.510 0.789
O 0.433 0.990 0.789
O 0.567 0.010 0.211
O 0.567 0.490 0.211
O 0.628 0.750 0.578
O 0.695 0.250 0.478
O 0.805 0.750 0.978
O 0.872 0.250 0.078
O 0.933 0.510 0.711
O 0.933 0.990 0.711